# Y3ErPu3Se8
Calculated powder XRD pattern, Cu Kα. Input: a structure optimized by DFT (PBE).
Kinematic intensities with the Lorentz-polarization factor, no thermal factor.

Structural model:
a = 7.0866 Å, b = 7.1483 Å, c = 7.1511 Å
α = 90.00°, β = 90.00°, γ = 90.00°
Space group Pmmm (No. 47)
One atom of each set of equivalent atoms:
Y 0.0000 0.0000 0.0000
Y 0.0000 0.0000 0.5000
Y 0.5000 0.0000 0.0000
Er 0.5000 0.0000 0.5000
Pu 0.0000 0.5000 0.5000
Pu 0.5000 0.5000 0.0000
Pu 0.5000 0.5000 0.5000
Se 0.2543 0.2395 0.2539

Top 6 peaks for 2θ = 5–70°, by intensity:
2theta  d/Å  I/Imax  h k l
35.68  2.517  100  2 0 2
35.51  2.528  51  0 2 2
63.88  1.457  36  2 2 4
64.20  1.451  18  4 2 2
51.10  1.787  18  0 0 4
12.38  7.150  14  0 0 1



# Pm4SmY6
Calculated powder XRD pattern, Cu Kα. Input: a structure optimized by DFT (PBE).
Kinematic intensities with the Lorentz-polarization factor, no thermal factor.

Structural model:
a = 5.8007 Å, b = 9.7243 Å, c = 26.0400 Å
α = 90.00°, β = 90.00°, γ = 90.00°
Space group Cmcm (No. 63)
One atom of each set of equivalent atoms:
Pm 0.0000 0.0302 0.1218
Pm 0.0000 0.3432 0.0438
Sm 0.0000 0.3163 0.7500
Y 0.0000 0.0000 0.0000
Y 0.0000 0.0180 0.2500
Y 0.0000 0.3104 0.6041
Y 0.0000 0.3557 0.1820

Top 6 peaks for 2θ = 5–70°, by intensity:
2theta  d/Å  I/Imax  h k l
31.62  2.830  100  1 3 0
29.98  2.981  63  1 1 7
30.83  2.900  63  2 0 0
30.25  2.954  47  0 2 7
32.87  2.725  42  1 1 8
43.74  2.070  34  2 2 7



# BaHoIrO6
Calculated powder XRD pattern, Cu Kα. Input: a structure optimized by DFT (PBE).
Kinematic intensities with the Lorentz-polarization factor, no thermal factor.

Structural model:
a = 5.6005 Å, b = 5.6005 Å, c = 5.6620 Å
α = 90.00°, β = 90.00°, γ = 120.00°
Space group P312 (No. 149)
One atom of each set of equivalent atoms:
Ba 0.0000 0.0000 0.0000
Ho 0.3333 0.6667 0.5000
Ir 0.6667 0.3333 0.5000
O 0.3952 0.0415 0.6955

Top 6 peaks for 2θ = 5–70°, by intensity:
2theta  d/Å  I/Imax  h k l
24.16  3.683  100  1 0 1
45.56  1.991  50  2 -1 2
31.96  2.800  48  1 1 0
15.65  5.662  30  0 0 1
52.47  1.744  24  3 -1 1
40.46  2.229  23  2 0 1



# TiTcO4
Calculated powder XRD pattern, Cu Kα. Input: a structure optimized by DFT (PBE).
Kinematic intensities with the Lorentz-polarization factor, no thermal factor.

Structural model:
a = 5.0743 Å, b = 4.5994 Å, c = 5.6465 Å
α = 90.00°, β = 90.00°, γ = 90.00°
Space group Pnc2 (No. 30)
One atom of each set of equivalent atoms:
Ti 0.0000 0.0000 0.0000
Tc 0.5000 0.0000 0.6784
O 0.1645 0.2312 0.7027
O 0.3237 0.7289 0.4407

Top 6 peaks for 2θ = 5–70°, by intensity:
2theta  d/Å  I/Imax  h k l
30.64  2.918  100  1 1 1
24.97  3.566  50  0 1 1
54.55  1.682  30  1 2 2
36.42  2.467  21  1 0 2
53.80  1.704  19  2 2 0
43.79  2.067  18  2 1 1



# LiAc2Al3Pt4
Calculated powder XRD pattern, Cu Kα. Input: a structure optimized by DFT (PBE).
Kinematic intensities with the Lorentz-polarization factor, no thermal factor.

Structural model:
a = 4.3883 Å, b = 4.3883 Å, c = 10.6470 Å
α = 90.00°, β = 90.00°, γ = 90.00°
Space group P-4m2 (No. 115)
One atom of each set of equivalent atoms:
Li 0.0000 0.0000 0.0000
Ac 0.0000 0.5000 0.7503
Al 0.0000 0.5000 0.3811
Al 0.5000 0.5000 0.0000
Pt 0.0000 0.0000 0.5000
Pt 0.0000 0.5000 0.1376
Pt 0.5000 0.5000 0.5000

Top 6 peaks for 2θ = 5–70°, by intensity:
2theta  d/Å  I/Imax  h k l
33.42  2.681  100  1 1 2
32.44  2.760  61  1 0 3
41.14  2.194  57  2 0 0
30.00  2.979  50  1 1 1
47.46  1.916  31  1 0 5
53.34  1.717  31  2 1 3



# TiP2Cl8
Calculated powder XRD pattern, Cu Kα. Input: a structure optimized by DFT (PBE).
Kinematic intensities with the Lorentz-polarization factor, no thermal factor.

Structural model:
a = 10.4227 Å, b = 10.4533 Å, c = 8.5159 Å
α = 90.00°, β = 121.90°, γ = 90.00°
Space group C2/m (No. 12)
One atom of each set of equivalent atoms:
Ti 0.0000 0.0000 0.0000
P 0.1215 0.5000 0.5861
Cl 0.0853 0.0000 0.8031
Cl 0.1758 0.5000 0.3920
Cl 0.1898 0.1562 0.1922

Top 6 peaks for 2θ = 5–70°, by intensity:
2theta  d/Å  I/Imax  h k l
13.87  6.384  100  1 1 -1
16.96  5.227  49  0 2 0
32.39  2.764  41  1 3 1
34.46  2.603  24  3 1 -3
21.32  4.167  22  1 1 1
40.05  2.251  21  3 3 0



# BeZn2InO4
Calculated powder XRD pattern, Cu Kα. Input: a structure optimized by DFT (PBE).
Kinematic intensities with the Lorentz-polarization factor, no thermal factor.

Structural model:
a = 4.6634 Å, b = 4.6634 Å, c = 8.7627 Å
α = 90.00°, β = 90.00°, γ = 90.00°
Space group I-42m (No. 121)
One atom of each set of equivalent atoms:
Be 0.0000 0.0000 0.0000
Zn 0.0000 0.5000 0.2500
In 0.0000 0.0000 0.5000
O 0.2033 0.2033 0.1173

Top 6 peaks for 2θ = 5–70°, by intensity:
2theta  d/Å  I/Imax  h k l
34.03  2.635  100  1 1 2
21.59  4.117  37  1 0 1
57.74  1.597  27  2 0 4
66.95  1.398  25  3 1 2
38.61  2.332  21  2 0 0
44.66  2.029  19  2 1 1